Record 1
This entry pairs a crystal structure of Li2Mn3SbO8 with its theoretical powder diffraction line list. Radiation: CuKα. Structure: a DFT-relaxed cell (GGA+U, the Materials Project).
Intensities are scaled so that the largest is 100.

```
28
Lattice="6.097 0.000 0.000 2.936 5.345 0.000 2.940 -1.176 9.850" Properties=species:S:1:pos:R:3 pbc="T T T"
Li 2.850 2.048 3.121
Li 5.861 4.126 8.057
Li 6.112 0.043 1.793
Li 9.123 2.121 6.729
Mn 5.960 3.730 2.459
Mn 3.049 0.000 0.000
Mn 4.519 -0.588 4.925
Mn 4.516 2.672 0.000
Mn 5.986 2.085 4.925
Mn 6.013 0.439 7.390
Sb 1.470 -0.588 4.925
Sb 1.468 2.672 0.000
O 2.844 0.173 3.734
O 2.840 1.867 1.166
O 5.973 2.232 8.780
O 4.594 3.023 3.807
O 5.974 4.067 6.020
O 4.612 -0.209 8.690
O 4.694 4.365 1.103
O 4.736 1.105 6.067
O 7.237 3.064 3.783
O 7.279 -0.196 8.747
O 7.361 4.378 1.159
O 5.999 0.103 3.829
O 7.379 1.146 6.042
O 6.000 1.937 1.070
O 9.133 2.302 8.683
O 9.129 3.996 6.115
```

Main lines, low angle first (2θ from 15° to 90°):
2θ (°)  intensity
17.83  51
18.02  100
33.21  12
33.77  16
34.39  19
34.84  17
35.13  15
36.50  12
40.48  27
42.63  46
59.66  16
60.79  15

Record 2
This entry pairs a crystal structure of LiMnP2HO7 with its theoretical powder diffraction line list. Radiation: CuKα. Structure: a DFT-relaxed cell (GGA+U, the Materials Project).
Intensities are scaled so that the largest is 100.

```
48
Lattice="5.232 0.000 0.000 0.000 12.915 0.000 -3.866 0.000 8.108" Properties=species:S:1:pos:R:3 pbc="T T T"
Li -0.479 0.188 3.056
Li -2.411 6.270 7.110
Li 3.778 6.645 0.998
Li 1.845 12.728 5.051
Mn -1.352 8.084 4.165
Mn 0.581 11.289 0.111
Mn 0.786 1.626 7.996
Mn 2.719 4.832 3.943
P -1.783 2.172 5.900
P 0.150 4.286 1.847
P 1.166 7.030 2.021
P -0.767 12.344 6.075
P 2.133 0.572 2.032
P 0.200 5.886 6.086
P 1.217 8.629 6.261
P 3.150 10.744 2.207
H 2.115 8.795 0.908
H 0.183 10.578 4.962
H 1.184 2.338 3.146
H -0.749 4.120 7.200
O -2.650 8.034 5.924
O -0.717 11.339 1.871
O -1.741 3.131 4.746
O 0.192 3.327 0.692
O -0.198 7.649 2.218
O -2.131 11.724 6.272
O -0.952 0.836 5.275
O 0.981 5.622 1.221
O 1.250 0.339 0.815
O -0.682 6.119 4.869
O -0.943 2.647 7.104
O 0.990 3.810 3.051
O 2.025 7.736 0.877
O 0.092 11.638 4.931
O 1.275 1.278 3.177
O -0.658 5.180 7.231
O 0.377 9.105 5.057
O 2.309 10.268 1.003
O 2.049 6.796 3.239
O 0.116 12.577 7.293
O 0.386 7.293 6.886
O 2.319 12.080 2.833
O 3.498 1.191 1.836
O 1.565 5.267 5.889
O 1.175 9.589 7.415
O 3.108 9.785 3.361
O 2.084 1.576 6.237
O 4.017 4.881 2.183
```

Main lines, low angle first (2θ from 15° to 90°):
2θ (°)  intensity
21.90  91
22.97  100
23.36  52
26.52  85
28.04  32
29.14  80
29.78  68
31.02  52
33.09  24
33.62  31
37.50  66
43.67  30

Record 3
This entry pairs a crystal structure of V2P3O12 with its theoretical powder diffraction line list. Radiation: CuKα. Structure: a DFT-relaxed cell (GGA+U, the Materials Project).
Intensities are scaled so that the largest is 100.

```
34
Lattice="4.296 2.480 6.917 -4.296 2.480 6.917 0.000 -4.960 6.917" Properties=species:S:1:pos:R:3 pbc="T T T"
V 0.000 0.000 2.830
V 0.000 0.000 7.545
V 0.000 0.000 13.205
V 0.000 0.000 17.921
P -3.068 -0.354 8.646
P -1.227 -2.835 12.105
P 1.841 -2.480 8.646
P -1.841 2.480 12.105
P 1.227 2.835 8.646
P 3.068 0.354 12.105
O -0.848 -1.340 3.926
O 0.848 1.340 16.825
O -3.682 1.061 8.649
O -2.760 -2.658 12.102
O -0.736 -1.405 6.450
O -0.736 1.405 3.926
O -1.536 -0.178 8.643
O 0.922 -3.719 8.649
O -0.848 1.340 6.450
O 1.585 -0.065 3.926
O -0.614 -1.419 12.107
O 0.922 -1.241 8.643
O 1.585 0.065 6.450
O -1.585 -0.065 14.301
O -0.922 1.241 12.107
O 0.614 1.419 8.643
O -1.585 0.065 16.825
O 0.848 -1.340 14.301
O -0.922 3.719 12.102
O 1.536 0.178 12.107
O 0.736 -1.405 16.825
O 0.736 1.405 14.301
O 2.760 2.658 8.649
O 3.682 -1.061 12.102
```

Main lines, low angle first (2θ from 15° to 90°):
2θ (°)  intensity
20.68  23
20.87  52
24.39  100
25.76  7
29.55  36
32.12  17
33.26  17
36.22  12
36.34  13
47.70  17
56.73  19
57.03  9